Diffraction record for ZnB2C8N8. The PXRD pattern is simulated, not measured: it uses a DFT-relaxed cell (PBE, Alexandria) and Cu Ka.

Lattice parameters (Å, degrees): 7.5678 7.5678 6.3659 90.00 90.00 120.00
Space group P-3m1 (No. 164)
Symmetry-distinct sites (fractional):
Zn  0.0000  0.0000  0.0000
B  0.3333  0.6667  0.3325
C  0.2194  0.4389  0.2463
C  0.3333  0.6667  0.5808
N  0.1361  0.2722  0.1849
N  0.3333  0.6667  0.7638

Most intense lines, 2θ = 10–90°, sorted by position:
6.554 Å, I = 30, hkl 1 0 0; 6.366 Å, I = 20, hkl 0 0 1; 4.566 Å, I = 100, hkl 0 1 1; 3.784 Å, I = 43, hkl 1 1 0; 2.914 Å, I = 50, hkl 0 2 1; 2.863 Å, I = 15, hkl 0 1 2; 2.309 Å, I = 18, hkl 1 2 1; 2.283 Å, I = 26, hkl 0 2 2; 1.955 Å, I = 8, hkl 1 2 2; 1.892 Å, I = 12, hkl 2 2 0; 1.748 Å, I = 11, hkl 1 3 1; 1.578 Å, I = 8, hkl 1 3 2



Diffraction record for LaPm2Y2Er. The PXRD pattern is simulated, not measured: it uses a DFT-relaxed cell (PBE, Alexandria) and Cu Ka.

Lattice parameters (Å, degrees): 7.108 5.725 9.857 90.00 90.00 90.00
Space group Pmma (No. 51)
Symmetry-distinct sites (fractional):
La  0.000  0.000  0.000
Pm  0.250  0.000  0.336
Pm  0.250  0.500  0.828
Y  0.000  0.500  0.500
Y  0.250  0.000  0.665
Er  0.250  0.500  0.168

Most intense lines, 2θ = 10–90°, sorted by position:
3.554 Å, I = 12, hkl 2 0 0; 2.886 Å, I = 100, hkl 2 0 2; 2.863 Å, I = 39, hkl 0 2 0; 2.850 Å, I = 77, hkl 0 1 3; 2.223 Å, I = 13, hkl 2 1 3; 2.031 Å, I = 25, hkl 2 2 2; 2.025 Å, I = 12, hkl 2 0 4; 1.657 Å, I = 13, hkl 2 3 1; 1.652 Å, I = 25, hkl 2 1 5; 1.650 Å, I = 15, hkl 0 3 3; 1.509 Å, I = 33, hkl 4 2 0; 1.209 Å, I = 11, hkl 4 3 3



Diffraction record for Rb7Na. The PXRD pattern is simulated, not measured: it uses a DFT-relaxed cell (PBE, Alexandria) and Cu Ka.

Lattice parameters (Å, degrees): 7.7775 7.7775 37.8824 90.00 90.00 120.00
Space group R-3m (No. 166, hexagonal axes)
Symmetry-distinct sites (fractional):
Rb  0.0000  0.0000  0.0000
Rb  0.0000  0.0000  0.1315
Rb  0.0000  0.0000  0.2529
Rb  0.0000  0.0000  0.3841
Na  0.0000  0.0000  0.5000

Most intense lines, 2θ = 10–90°, sorted by position:
4.218 Å, I = 5, hkl 1 0 7; 3.882 Å, I = 100, hkl 1 1 0; 2.744 Å, I = 19, hkl 2 0 8; 2.243 Å, I = 33, hkl 3 0 0; 2.234 Å, I = 8, hkl 1 0 16; 2.118 Å, I = 5, hkl 1 1 15; 1.944 Å, I = 7, hkl 2 2 0; 1.937 Å, I = 5, hkl 0 2 16; 1.738 Å, I = 9, hkl 3 1 8; 1.734 Å, I = 7, hkl 2 1 16; 1.469 Å, I = 11, hkl 4 1 0; 1.467 Å, I = 4, hkl 1 3 16



Diffraction record for Cd5GaHg5. The PXRD pattern is simulated, not measured: it uses a DFT-relaxed cell (PBE, Alexandria) and Cu Ka.

Lattice parameters (Å, degrees): 6.007 6.213 8.025 110.28 102.53 94.42
Space group P-1 (No. 2)
Symmetry-distinct sites (fractional):
Cd  0.000  0.000  0.000
Cd  0.183  0.071  0.687
Cd  0.263  0.556  0.630
Ga  0.500  0.000  0.000
Hg  0.138  0.543  0.216
Hg  0.345  0.101  0.362
Hg  0.500  0.500  0.000

Most intense lines, 2θ = 10–90°, sorted by position:
2.949 Å, I = 63, hkl 1 -1 2; 2.894 Å, I = 30, hkl 1 1 1; 2.874 Å, I = 77, hkl 0 2 0; 2.763 Å, I = 34, hkl 1 -2 0; 2.655 Å, I = 31, hkl -2 1 1; 2.618 Å, I = 100, hkl 2 0 -2; 2.582 Å, I = 30, hkl 1 1 -3; 2.475 Å, I = 31, hkl 2 0 1; 2.423 Å, I = 29, hkl 0 0 3; 2.253 Å, I = 38, hkl 1 2 -3; 2.081 Å, I = 30, hkl -2 2 1; 2.054 Å, I = 31, hkl -1 1 3



Diffraction record for CeMgPd. The PXRD pattern is simulated, not measured: it uses a DFT-relaxed cell (PBE, Alexandria) and Cu Ka.

Lattice parameters (Å, degrees): 7.572 4.156 12.967 90.00 90.30 90.00
Space group P2_1/m (No. 11)
Symmetry-distinct sites (fractional):
Ce  0.041  0.250  0.376
Ce  0.158  0.250  0.082
Ce  0.455  0.750  0.714
Mg  0.130  0.250  0.798
Mg  0.365  0.750  0.460
Mg  0.498  0.250  0.916
Pd  0.249  0.750  0.249
Pd  0.252  0.250  0.585
Pd  0.253  0.750  0.918

Most intense lines, 2θ = 10–90°, sorted by position:
4.936 Å, I = 34, hkl 1 0 -2; 3.629 Å, I = 42, hkl 2 0 1; 3.176 Å, I = 38, hkl 1 1 -2; 2.799 Å, I = 49, hkl 2 1 0; 2.785 Å, I = 100, hkl 1 1 3; 2.735 Å, I = 67, hkl 2 1 1; 2.573 Å, I = 71, hkl 2 1 -2; 2.566 Å, I = 69, hkl 2 1 2; 2.556 Å, I = 73, hkl 0 1 4; 2.421 Å, I = 35, hkl 1 1 4; 2.161 Å, I = 34, hkl 0 0 6; 2.078 Å, I = 68, hkl 0 2 0



Diffraction record for RbNiRuCl6. The PXRD pattern is simulated, not measured: it uses a DFT-relaxed cell (PBE, Alexandria) and Cu Ka.

Lattice parameters (Å, degrees): 6.2700 6.2700 7.4293 90.00 90.00 120.00
Space group P312 (No. 149)
Symmetry-distinct sites (fractional):
Rb  0.0000  0.0000  0.0000
Ni  0.6667  0.3333  0.5000
Ru  0.3333  0.6667  0.5000
Cl  0.0048  0.3719  0.6802

Most intense lines, 2θ = 10–90°, sorted by position:
7.429 Å, I = 54, hkl 0 0 1; 4.384 Å, I = 100, hkl 1 0 1; 3.135 Å, I = 14, hkl 1 1 0; 2.888 Å, I = 27, hkl 2 -1 1; 2.550 Å, I = 15, hkl 2 0 1; 2.396 Å, I = 70, hkl 2 -1 2; 1.978 Å, I = 21, hkl 3 -1 1; 1.830 Å, I = 13, hkl 2 0 3; 1.810 Å, I = 22, hkl 3 0 0; 1.598 Å, I = 16, hkl 1 1 4; 1.476 Å, I = 11, hkl 3 1 1; 1.444 Å, I = 12, hkl 2 2 2



Diffraction record for In2SnRh. The PXRD pattern is simulated, not measured: it uses a DFT-relaxed cell (PBE, Alexandria) and Cu Ka.

Lattice parameters (Å, degrees): 3.875 9.705 9.169 90.00 90.00 90.00
Space group Cmcm (No. 63)
Symmetry-distinct sites (fractional):
In  0.000  0.140  0.048
Sn  0.000  0.431  0.250
Rh  0.000  0.276  0.750

Most intense lines, 2θ = 10–90°, sorted by position:
2.831 Å, I = 100, hkl 1 1 2; 2.586 Å, I = 36, hkl 0 2 3; 2.483 Å, I = 20, hkl 1 3 0; 2.397 Å, I = 60, hkl 1 3 1; 2.345 Å, I = 21, hkl 0 4 1; 2.329 Å, I = 35, hkl 1 1 3; 2.292 Å, I = 21, hkl 0 0 4; 2.184 Å, I = 26, hkl 1 3 2; 2.144 Å, I = 21, hkl 0 4 2; 1.937 Å, I = 28, hkl 2 0 0; 1.551 Å, I = 15, hkl 2 2 3; 1.475 Å, I = 23, hkl 1 3 5



Diffraction record for MgO. The PXRD pattern is simulated, not measured: it uses a DFT-relaxed cell (PBE, Alexandria) and Cu Ka.

Lattice parameters (Å, degrees): 3.5239 3.5239 4.2412 90.00 90.00 120.00
Space group P6_3/mmc (No. 194)
Symmetry-distinct sites (fractional):
Mg  0.3333  0.6667  0.2500
O  0.3333  0.6667  0.7500

Most intense lines, 2θ = 10–90°, sorted by position:
3.052 Å, I = 100, hkl 1 0 0; 2.477 Å, I = 15, hkl 1 0 1; 2.121 Å, I = 43, hkl 0 0 2; 1.762 Å, I = 67, hkl 1 1 0; 1.741 Å, I = 32, hkl 1 0 2; 1.526 Å, I = 10, hkl 2 0 0; 1.436 Å, I = 5, hkl 2 0 1; 1.355 Å, I = 48, hkl 1 1 2; 1.283 Å, I = 4, hkl 1 0 3; 1.239 Å, I = 8, hkl 2 0 2; 1.153 Å, I = 7, hkl 2 1 0; 1.113 Å, I = 5, hkl 2 1 1